Structure and calculated powder XRD pattern of ThSi3Ir5 (the PBE geometry in Alexandria; CuKα).
Kinematic intensities with the Lorentz-polarization factor, no thermal factor.

Largest 10 diffraction maxima, sorted by position, 2θ from 5° to 70°:
index	2θ (°)	d/Å	I (rel.)
0 2 3	25.90	3.441	569
1 3 0	31.52	2.839	519
1 1 3	32.13	2.786	1000
1 3 1	32.35	2.768	462
1 3 2	34.73	2.583	381
1 1 4	37.50	2.398	835
1 5 0	43.44	2.083	410
2 0 0	46.00	1.973	766
0 2 6	46.12	1.968	469
2 2 6	67.20	1.393	309

Structure:
```
data_ThSi3Ir5
_chemical_formula_sum 'Th4 Si12 Ir20'
_symmetry_space_group_name_H-M 'C m c m'
_symmetry_Int_Tables_number 63
_symmetry_space_group_name_Hall '-C 2c 2'
_cell_length_a 3.9438
_cell_length_b 12.2660
_cell_length_c 12.4683
_cell_angle_alpha 90.00
_cell_angle_beta 90.00
_cell_angle_gamma 90.00
loop_
_atom_site_label
_atom_site_fract_x
_atom_site_fract_y
_atom_site_fract_z
Th1 0.0000 0.1621 0.2500
Si1 0.0000 0.1151 0.7500
Si2 0.0000 0.3868 0.5398
Ir1 0.0000 0.0000 0.0000
Ir2 0.0000 0.2054 0.5774
Ir3 0.0000 0.4477 0.1461
```